Diffraction record for Ac2Zn4Ga. The X-ray powder pattern is simulated, not measured: it uses a cell relaxed with PBE and a wavelength of 1.5418 Å.

Cell lengths 6.1800, 6.2426, 8.8656 Å; angles 90.00, 105.81, 90.00 degrees
Atoms (fractional coordinates):
Ac: 0.1289 0.2500 0.4030
Ac: 0.2578 0.7500 0.0183
Ac: 0.7422 0.2500 0.9817
Ac: 0.8711 0.7500 0.5970
Zn: 0.2827 0.2500 0.0894
Zn: 0.3126 0.7500 0.4049
Zn: 0.4181 0.5358 0.6952
Zn: 0.4181 0.9642 0.6952
Zn: 0.5819 0.0358 0.3048
Zn: 0.5819 0.4642 0.3048
Zn: 0.6874 0.2500 0.5951
Zn: 0.7173 0.7500 0.9106
Ga: 0.1417 0.2500 0.7820
Ga: 0.8583 0.7500 0.2180

Principal peaks in the range 10 to 80 degrees two-theta, low angle first:
2θ/deg  I (rel.)
21.2  59
28.6  70
31.6  70
32.4  100
33.4  44
34.2  64
35.4  35
35.6  41
38.6  35
42.6  38

Diffraction record for Ho2MoN4. The X-ray powder pattern is simulated, not measured: it uses a cell relaxed with PBE and a wavelength of 1.5418 Å.

Cell lengths 8.0495, 6.9754, 6.1122 Å; angles 75.59, 57.07, 47.34 degrees
Atoms (fractional coordinates):
Ho: 0.0689 0.6811 0.0689
Ho: 0.3189 0.9311 0.3189
Ho: 0.6811 0.0689 0.6811
Ho: 0.9311 0.3189 0.9311
Mo: 0.3750 0.3750 0.3750
Mo: 0.6250 0.6250 0.6250
N: 0.1698 0.7323 0.3426
N: 0.2553 0.3426 0.7323
N: 0.2677 0.8302 0.7447
N: 0.3426 0.2553 0.1698
N: 0.6574 0.7447 0.8302
N: 0.7323 0.1698 0.2553
N: 0.7447 0.6574 0.2677
N: 0.8302 0.2677 0.6574

Principal peaks in the range 10 to 80 degrees two-theta, low angle first:
2θ/deg  I (rel.)
22.4  28
29.0  59
30.2  94
31.0  100
36.7  45
47.4  32
50.2  26
52.6  27
54.7  18
60.7  20

Diffraction record for Ce2PRh3. The X-ray powder pattern is simulated, not measured: it uses a cell relaxed with PBE and a wavelength of 1.5418 Å.

Cell lengths 5.0493, 5.0493, 5.0493 Å; angles 66.68, 66.68, 66.68 degrees
Atoms (fractional coordinates):
Ce: 0.1206 0.1206 0.1206
Ce: 0.8794 0.8794 0.8794
P: 0.5000 0.5000 0.5000
Rh: 0.0000 0.5000 0.5000
Rh: 0.5000 0.0000 0.5000
Rh: 0.5000 0.5000 0.0000

Principal peaks in the range 10 to 80 degrees two-theta, low angle first:
2θ/deg  I (rel.)
32.3  27
35.9  62
38.2  100
39.9  74
40.6  46
43.0  38
59.9  28
65.0  22
67.5  30
76.2  21

Diffraction record for Y5Bi4Te. The X-ray powder pattern is simulated, not measured: it uses a cell relaxed with PBE and a wavelength of 1.5418 Å.

Cell lengths 11.8070, 11.8070, 11.8070 Å; angles 158.22, 149.02, 38.19 degrees
Atoms (fractional coordinates):
Y: 0.0000 0.0000 0.0000
Y: 0.2000 0.2000 0.0000
Y: 0.3990 0.3990 0.0000
Y: 0.6010 0.6010 0.0000
Y: 0.8000 0.8000 0.0000
Bi: 0.0993 0.5993 0.5000
Bi: 0.3005 0.8005 0.5000
Bi: 0.6995 0.1995 0.5000
Bi: 0.9007 0.4007 0.5000
Te: 0.5000 0.0000 0.5000

Principal peaks in the range 10 to 80 degrees two-theta, low angle first:
2θ/deg  I (rel.)
24.4  23
28.3  100
40.4  77
47.8  13
50.1  28
58.5  13
64.4  6
66.3  36
73.5  27
78.8  4